Entry 1:
This entry pairs a crystal structure of Na2HfSe2S with its theoretical X-ray diffraction stick pattern. Radiation: copper Kα. Structure: DFT lattice parameters and positions (GGA-PBE).
Intensities are scaled so that the largest is 100.

Peak list (10 most intense, 2θ from 5° to 70°, by intensity)
- 2.834 Å, 2θ = 31.6°, I 100, hkl 1 3 1
- 6.783 Å, 2θ = 13.1°, I 80, hkl 0 0 1
- 2.844 Å, 2θ = 31.5°, I 51, hkl 2 0 -2
- 2.039 Å, 2θ = 44.4°, I 36, hkl 1 3 -3
- 1.978 Å, 2θ = 45.9°, I 34, hkl 3 3 -1
- 5.896 Å, 2θ = 15.0°, I 30, hkl 0 2 0
- 5.698 Å, 2θ = 15.6°, I 27, hkl 1 1 0
- 2.045 Å, 2θ = 44.3°, I 26, hkl 2 0 2
- 3.363 Å, 2θ = 26.5°, I 24, hkl 1 3 0
- 2.215 Å, 2θ = 40.7°, I 23, hkl 2 0 -3

```
data_Na2HfSe2S
_chemical_formula_sum 'Na8 Hf4 Se8 S4'
_cell_length_a 6.8663
_cell_length_b 11.7918
_cell_length_c 7.1562
_cell_angle_alpha 90.00
_cell_angle_beta 108.59
_cell_angle_gamma 90.00
_symmetry_space_group_name_H-M 'C 1 2/m 1'
_symmetry_Int_Tables_number 12
loop_
_symmetry_equiv_pos_as_xyz
'x,y,z'
'-x,-y,-z'
'-x,y,-z'
'x,-y,z'
'x+1/2,y+1/2,z'
'-x+1/2,-y+1/2,-z'
'-x+1/2,y+1/2,-z'
'x+1/2,-y+1/2,z'
loop_
_atom_site_label
_atom_site_type_symbol
_atom_site_fract_x
_atom_site_fract_y
_atom_site_fract_z
_atom_site_occupancy
Na1 Na 0.0000 0.0000 0.0000 1
Na2 Na 0.0000 0.1522 0.5000 1
Na3 Na 0.0000 0.5000 0.5000 1
Hf1 Hf 0.0000 0.3388 0.0000 1
Se1 Se 0.2448 0.3191 0.7730 1
S1 S 0.2060 0.5000 0.2144 1
```


Entry 2:
This entry pairs a crystal structure of NdCl2 with its theoretical X-ray diffraction stick pattern. Radiation: copper Kα. Structure: DFT lattice parameters and positions (GGA-PBE).
Intensities are scaled so that the largest is 100.

Peak list (10 most intense, 2θ from 5° to 70°, by intensity)
- 3.319 Å, 2θ = 26.9°, I 100, hkl 1 1 0
- 2.661 Å, 2θ = 33.7°, I 64, hkl 1 1 2
- 3.862 Å, 2θ = 23.0°, I 57, hkl 2 0 0
- 2.111 Å, 2θ = 42.8°, I 57, hkl 3 0 2
- 2.976 Å, 2θ = 30.0°, I 53, hkl 0 1 2
- 4.778 Å, 2θ = 18.6°, I 48, hkl 1 0 -2
- 5.077 Å, 2θ = 17.5°, I 43, hkl 0 0 2
- 2.003 Å, 2θ = 45.3°, I 39, hkl 2 1 -4
- 2.088 Å, 2θ = 43.3°, I 33, hkl 0 1 4
- 2.547 Å, 2θ = 35.2°, I 31, hkl 3 0 -2

```
data_NdCl2
_chemical_formula_sum 'Nd4 Cl8'
_cell_length_a 7.9473
_cell_length_b 3.6742
_cell_length_c 10.4336
_cell_angle_alpha 90.00
_cell_angle_beta 103.31
_cell_angle_gamma 90.00
_symmetry_space_group_name_H-M 'P 1 21/c 1'
_symmetry_Int_Tables_number 14
loop_
_symmetry_equiv_pos_as_xyz
'x,y,z'
'-x,-y,-z'
'-x,y+1/2,-z+1/2'
'x,-y+1/2,z+1/2'
loop_
_atom_site_label
_atom_site_type_symbol
_atom_site_fract_x
_atom_site_fract_y
_atom_site_fract_z
_atom_site_occupancy
Nd1 Nd 0.2360 0.2460 0.1725 1
Cl1 Cl 0.0690 0.2468 0.3903 1
Cl2 Cl 0.4238 0.7464 0.3655 1
```


Entry 3:
This entry pairs a crystal structure of Si3NiSb4 with its theoretical X-ray diffraction stick pattern. Radiation: copper Kα. Structure: DFT lattice parameters and positions (GGA-PBE).
Intensities are scaled so that the largest is 100.

Peak list (10 most intense, 2θ from 5° to 70°, by intensity)
- 3.462 Å, 2θ = 25.7°, I 100, hkl 1 1 2
- 2.120 Å, 2θ = 42.6°, I 58, hkl 2 2 0
- 1.808 Å, 2θ = 50.5°, I 43, hkl 3 1 2
- 2.998 Å, 2θ = 29.8°, I 21, hkl 2 0 0
- 1.376 Å, 2θ = 68.2°, I 16, hkl 3 3 2
- 1.500 Å, 2θ = 61.8°, I 6, hkl 4 0 0
- 5.365 Å, 2θ = 16.5°, I 5, hkl 1 0 1
- 1.731 Å, 2θ = 52.9°, I 5, hkl 2 2 4
- 5.988 Å, 2θ = 14.8°, I 3, hkl 0 0 2
- 1.497 Å, 2θ = 62.0°, I 3, hkl 0 0 8

```
data_Si3NiSb4
_chemical_formula_sum 'Si6 Ni2 Sb8'
_cell_length_a 6.0007
_cell_length_b 6.0007
_cell_length_c 11.9761
_cell_angle_alpha 90.00
_cell_angle_beta 90.00
_cell_angle_gamma 90.00
_symmetry_space_group_name_H-M 'I -4 2 m'
_symmetry_Int_Tables_number 121
_symmetry_space_group_name_Hall 'I -4 2'
loop_
_atom_site_label
_atom_site_type_symbol
_atom_site_fract_x
_atom_site_fract_y
_atom_site_fract_z
_atom_site_occupancy
Si1 Si 0.0000 0.0000 0.0000 1
Si2 Si 0.0000 0.5000 0.2500 1
Ni1 Ni 0.0000 0.0000 0.5000 1
Sb1 Sb 0.2355 0.2355 0.6160 1
```


Entry 4:
This entry pairs a crystal structure of Ho3Os with its theoretical X-ray diffraction stick pattern. Radiation: copper Kα. Structure: DFT lattice parameters and positions (GGA-PBE).
Intensities are scaled so that the largest is 100.

Peak list (10 most intense, 2θ from 5° to 70°, by intensity)
- 2.743 Å, 2θ = 32.6°, I 100, hkl 1 1 2
- 2.536 Å, 2θ = 35.4°, I 87, hkl 1 3 1
- 2.596 Å, 2θ = 34.5°, I 78, hkl 2 2 1
- 2.701 Å, 2θ = 33.2°, I 70, hkl 0 3 1
- 2.853 Å, 2θ = 31.3°, I 64, hkl 2 2 0
- 2.326 Å, 2θ = 38.7°, I 53, hkl 2 3 0
- 2.292 Å, 2θ = 39.3°, I 52, hkl 3 0 1
- 1.833 Å, 2θ = 49.8°, I 48, hkl 1 2 3
- 2.999 Å, 2θ = 29.8°, I 46, hkl 2 1 1
- 2.881 Å, 2θ = 31.0°, I 40, hkl 1 0 2

```
data_Ho3Os
_chemical_formula_sum 'Ho12 Os4'
_cell_length_a 7.3906
_cell_length_b 8.9814
_cell_length_c 6.2562
_cell_angle_alpha 90.00
_cell_angle_beta 90.00
_cell_angle_gamma 90.00
_symmetry_space_group_name_H-M 'P n m a'
_symmetry_Int_Tables_number 62
loop_
_symmetry_equiv_pos_as_xyz
'x,y,z'
'-x,-y,-z'
'-x+1/2,-y,z+1/2'
'x+1/2,y,-z+1/2'
'x+1/2,-y+1/2,-z+1/2'
'-x+1/2,y+1/2,z+1/2'
'-x,y+1/2,-z'
'x,-y+1/2,z'
loop_
_atom_site_label
_atom_site_type_symbol
_atom_site_fract_x
_atom_site_fract_y
_atom_site_fract_z
_atom_site_occupancy
Ho1 Ho 0.0380 0.2500 0.1287 1
Ho2 Ho 0.1748 0.0628 0.6658 1
Os1 Os 0.1185 0.7500 0.4598 1
```


Entry 5:
This entry pairs a crystal structure of CuAg with its theoretical X-ray diffraction stick pattern. Radiation: copper Kα. Structure: DFT lattice parameters and positions (GGA-PBE).
Intensities are scaled so that the largest is 100.

Peak list (10 most intense, 2θ from 5° to 70°, by intensity)
- 2.253 Å, 2θ = 40.0°, I 100, hkl 6 0 -2
- 1.967 Å, 2θ = 46.1°, I 44, hkl 5 1 0
- 2.241 Å, 2θ = 40.2°, I 32, hkl 4 0 2
- 1.913 Å, 2θ = 47.5°, I 18, hkl 2 0 -4
- 1.374 Å, 2θ = 68.3°, I 12, hkl 7 1 -4
- 1.369 Å, 2θ = 68.6°, I 11, hkl 3 1 4
- 1.394 Å, 2θ = 67.2°, I 7, hkl 0 2 0
- 1.388 Å, 2θ = 67.5°, I 7, hkl 10 0 0
- 2.455 Å, 2θ = 36.6°, I 4, hkl 0 0 3
- 2.519 Å, 2θ = 35.6°, I 3, hkl 1 1 1

```
data_CuAg
_chemical_formula_sum 'Cu10 Ag10'
_cell_length_a 14.4219
_cell_length_b 2.7877
_cell_length_c 7.6501
_cell_angle_alpha 90.00
_cell_angle_beta 105.69
_cell_angle_gamma 90.00
_symmetry_space_group_name_H-M 'C 1 m 1'
_symmetry_Int_Tables_number 8
loop_
_symmetry_equiv_pos_as_xyz
'x,y,z'
'x,-y,z'
'x+1/2,y+1/2,z'
'x+1/2,-y+1/2,z'
loop_
_atom_site_label
_atom_site_type_symbol
_atom_site_fract_x
_atom_site_fract_y
_atom_site_fract_z
_atom_site_occupancy
Cu1 Cu 0.0000 0.0000 0.0000 1
Cu2 Cu 0.0049 0.0000 0.5295 1
Cu3 Cu 0.0962 0.5000 0.8255 1
Cu4 Cu 0.1944 0.0000 0.1084 1
Cu5 Cu 0.2901 0.5000 0.4014 1
Ag1 Ag 0.0958 0.5000 0.2969 1
Ag2 Ag 0.1942 0.0000 0.6143 1
Ag3 Ag 0.2980 0.5000 0.9251 1
Ag4 Ag 0.3994 0.0000 0.6996 1
Ag5 Ag 0.3997 0.0000 0.2359 1
```


Entry 6:
This entry pairs a crystal structure of DySi2Ni10 with its theoretical X-ray diffraction stick pattern. Radiation: copper Kα. Structure: DFT lattice parameters and positions (GGA-PBE).
Intensities are scaled so that the largest is 100.

Peak list (10 most intense, 2θ from 5° to 70°, by intensity)
- 2.035 Å, 2θ = 44.5°, I 100, hkl 4 0 0
- 2.023 Å, 2θ = 44.8°, I 34, hkl 2 0 2
- 2.347 Å, 2θ = 38.4°, I 33, hkl 3 0 1
- 2.871 Å, 2θ = 31.2°, I 20, hkl 2 1 1
- 2.330 Å, 2θ = 38.6°, I 16, hkl 0 0 2
- 1.812 Å, 2θ = 50.4°, I 15, hkl 2 2 2
- 1.821 Å, 2θ = 50.1°, I 10, hkl 4 2 0
- 2.577 Å, 2θ = 34.8°, I 10, hkl 3 1 0
- 1.440 Å, 2θ = 64.7°, I 6, hkl 4 4 0
- 1.921 Å, 2θ = 47.3°, I 6, hkl 3 3 0

```
data_DySi2Ni10
_chemical_formula_sum 'Dy2 Si4 Ni20'
_cell_length_a 8.1495
_cell_length_b 8.1495
_cell_length_c 4.6609
_cell_angle_alpha 90.00
_cell_angle_beta 90.00
_cell_angle_gamma 90.00
_symmetry_space_group_name_H-M 'P 4/n m m'
_symmetry_Int_Tables_number 129
loop_
_symmetry_equiv_pos_as_xyz
'x,y,z'
'-x,-y,-z'
'-y+1/2,x,z'
'y+1/2,-x,-z'
'-x+1/2,-y+1/2,z'
'x+1/2,y+1/2,-z'
'y,-x+1/2,z'
'-y,x+1/2,-z'
'x+1/2,-y,-z'
'-x+1/2,y,z'
'-y,-x,-z'
'y,x,z'
'-x,y+1/2,-z'
'x,-y+1/2,z'
'y+1/2,x+1/2,-z'
'-y+1/2,-x+1/2,z'
loop_
_atom_site_label
_atom_site_type_symbol
_atom_site_fract_x
_atom_site_fract_y
_atom_site_fract_z
_atom_site_occupancy
Dy1 Dy 0.2500 0.2500 0.2208 1
Si1 Si 0.0000 0.0000 0.5000 1
Ni1 Ni 0.0000 0.0000 0.0000 1
Ni2 Ni 0.0267 0.2500 0.7295 1
Ni3 Ni 0.1027 0.7500 0.7608 1
```


Entry 7:
This entry pairs a crystal structure of ErTmCoSiGe with its theoretical X-ray diffraction stick pattern. Radiation: copper Kα. Structure: DFT lattice parameters and positions (GGA-PBE).
Intensities are scaled so that the largest is 100.

Peak list (10 most intense, 2θ from 5° to 70°, by intensity)
- 2.602 Å, 2θ = 34.5°, I 100, hkl 1 1 2
- 2.569 Å, 2θ = 34.9°, I 80, hkl 1 1 -3
- 2.383 Å, 2θ = 37.7°, I 75, hkl 3 1 -3
- 2.621 Å, 2θ = 34.2°, I 66, hkl 3 1 -1
- 2.586 Å, 2θ = 34.7°, I 58, hkl 4 0 -2
- 2.197 Å, 2θ = 41.1°, I 57, hkl 0 0 4
- 2.053 Å, 2θ = 44.1°, I 56, hkl 0 2 0
- 2.139 Å, 2θ = 42.3°, I 52, hkl 3 1 1
- 3.740 Å, 2θ = 23.8°, I 41, hkl 1 1 0
- 3.292 Å, 2θ = 27.1°, I 38, hkl 2 0 -3

```
data_ErTmCoSiGe
_chemical_formula_sum 'Er4 Tm4 Co4 Si4 Ge4'
_cell_length_a 10.3466
_cell_length_b 4.1063
_cell_length_c 10.0472
_cell_angle_alpha 90.00
_cell_angle_beta 118.96
_cell_angle_gamma 90.00
_symmetry_space_group_name_H-M 'C 1 2/m 1'
_symmetry_Int_Tables_number 12
loop_
_symmetry_equiv_pos_as_xyz
'x,y,z'
'-x,-y,-z'
'-x,y,-z'
'x,-y,z'
'x+1/2,y+1/2,z'
'-x+1/2,-y+1/2,-z'
'-x+1/2,y+1/2,-z'
'x+1/2,-y+1/2,z'
loop_
_atom_site_label
_atom_site_type_symbol
_atom_site_fract_x
_atom_site_fract_y
_atom_site_fract_z
_atom_site_occupancy
Er1 Er 0.1839 0.0000 0.1099 1
Tm1 Tm 0.0008 0.0000 0.3333 1
Co1 Co 0.2312 0.5000 0.3846 1
Si1 Si 0.1497 0.5000 0.5670 1
Ge1 Ge 0.0152 0.5000 0.8697 1
```


Entry 8:
This entry pairs a crystal structure of Er3Tm3Bi2Os with its theoretical X-ray diffraction stick pattern. Radiation: copper Kα. Structure: DFT lattice parameters and positions (GGA-PBE).
Intensities are scaled so that the largest is 100.

Peak list (10 most intense, 2θ from 5° to 70°, by intensity)
- 2.941 Å, 2θ = 30.4°, I 100, hkl 1 1 1
- 2.718 Å, 2θ = 33.0°, I 79, hkl 2 0 1
- 2.266 Å, 2θ = 39.8°, I 63, hkl 2 1 1
- 2.368 Å, 2θ = 38.0°, I 50, hkl 3 0 0
- 2.685 Å, 2θ = 33.4°, I 48, hkl 2 1 0
- 1.520 Å, 2θ = 60.9°, I 32, hkl 3 2 1
- 2.110 Å, 2θ = 42.9°, I 29, hkl 0 0 2
- 1.575 Å, 2θ = 58.6°, I 29, hkl 3 0 2
- 1.659 Å, 2θ = 55.4°, I 23, hkl 2 1 2
- 1.455 Å, 2θ = 64.0°, I 17, hkl 4 1 1

```
data_Er3Tm3Bi2Os
_chemical_formula_sum 'Er3 Tm3 Bi2 Os1'
_cell_length_a 8.2038
_cell_length_b 8.2038
_cell_length_c 4.2198
_cell_angle_alpha 90.00
_cell_angle_beta 90.00
_cell_angle_gamma 120.00
_symmetry_space_group_name_H-M 'P -6 2 m'
_symmetry_Int_Tables_number 189
_symmetry_space_group_name_Hall 'P -6 -2'
loop_
_atom_site_label
_atom_site_type_symbol
_atom_site_fract_x
_atom_site_fract_y
_atom_site_fract_z
_atom_site_occupancy
Er1 Er 0.0000 0.6172 0.0000 1
Tm1 Tm 0.0000 0.2332 0.5000 1
Bi1 Bi 0.3333 0.6667 0.5000 1
Os1 Os 0.0000 0.0000 0.0000 1
```


Entry 9:
This entry pairs a crystal structure of BaNaNdGe3O9 with its theoretical X-ray diffraction stick pattern. Radiation: copper Kα. Structure: DFT lattice parameters and positions (GGA-PBE).
Intensities are scaled so that the largest is 100.

Peak list (10 most intense, 2θ from 5° to 70°, by intensity)
- 2.889 Å, 2θ = 31.0°, I 100, hkl 1 3 2
- 3.136 Å, 2θ = 28.5°, I 95, hkl 1 3 1
- 2.854 Å, 2θ = 31.3°, I 69, hkl 2 0 1
- 3.215 Å, 2θ = 27.8°, I 66, hkl 0 0 4
- 3.929 Å, 2θ = 22.6°, I 49, hkl 1 2 1
- 3.315 Å, 2θ = 26.9°, I 47, hkl 1 1 3
- 3.233 Å, 2θ = 27.6°, I 44, hkl 1 3 0
- 2.581 Å, 2θ = 34.8°, I 43, hkl 1 3 3
- 4.057 Å, 2θ = 21.9°, I 42, hkl 1 1 2
- 1.831 Å, 2θ = 49.8°, I 34, hkl 1 4 5

```
data_BaNaNdGe3O9
_chemical_formula_sum 'Ba4 Na4 Nd4 Ge12 O36'
_cell_length_a 5.8545
_cell_length_b 11.6362
_cell_length_c 12.8587
_cell_angle_alpha 90.00
_cell_angle_beta 90.00
_cell_angle_gamma 90.00
_symmetry_space_group_name_H-M 'P 21 21 21'
_symmetry_Int_Tables_number 19
loop_
_symmetry_equiv_pos_as_xyz
'x,y,z'
'-x+1/2,-y,z+1/2'
'x+1/2,-y+1/2,-z'
'-x,y+1/2,-z+1/2'
loop_
_atom_site_label
_atom_site_type_symbol
_atom_site_fract_x
_atom_site_fract_y
_atom_site_fract_z
_atom_site_occupancy
Ba1 Ba 0.1041 0.1154 0.0829 1
Na1 Na 0.0735 0.7818 0.1153 1
Nd1 Nd 0.1198 0.4664 0.1412 1
Ge1 Ge 0.0988 0.8583 0.8626 1
Ge2 Ge 0.1026 0.5862 0.8832 1
Ge3 Ge 0.1115 0.2041 0.8132 1
O1 O 0.0041 0.4842 0.9687 1
O2 O 0.0358 0.4610 0.5618 1
O3 O 0.1061 0.7282 0.9416 1
O4 O 0.1202 0.3351 0.7364 1
O5 O 0.1246 0.0958 0.7123 1
O6 O 0.1289 0.1225 0.3124 1
O7 O 0.1355 0.4354 0.3230 1
O8 O 0.1378 0.6974 0.6147 1
O9 O 0.1406 0.8117 0.3845 1
```


Entry 10:
This entry pairs a crystal structure of Cs3CuTeS9 with its theoretical X-ray diffraction stick pattern. Radiation: copper Kα. Structure: DFT lattice parameters and positions (GGA-PBE).
Intensities are scaled so that the largest is 100.

Peak list (10 most intense, 2θ from 5° to 70°, by intensity)
- 3.207 Å, 2θ = 27.8°, I 100, hkl 3 3 2
- 10.737 Å, 2θ = 8.2°, I 63, hkl 2 0 0
- 3.400 Å, 2θ = 26.2°, I 61, hkl 3 1 3
- 4.369 Å, 2θ = 20.3°, I 55, hkl 3 1 2
- 2.995 Å, 2θ = 29.8°, I 52, hkl 5 3 1
- 2.925 Å, 2θ = 30.6°, I 51, hkl 1 1 4
- 2.962 Å, 2θ = 30.2°, I 49, hkl 1 3 3
- 3.219 Å, 2θ = 27.7°, I 46, hkl 0 4 1
- 2.127 Å, 2θ = 42.5°, I 38, hkl 3 5 3
- 4.139 Å, 2θ = 21.5°, I 37, hkl 2 2 2

```
data_Cs3CuTeS9
_chemical_formula_sum 'Cs24 Cu8 Te8 S72'
_cell_length_a 21.4750
_cell_length_b 13.3582
_cell_length_c 12.1097
_cell_angle_alpha 90.00
_cell_angle_beta 90.00
_cell_angle_gamma 90.00
_symmetry_space_group_name_H-M 'C m c e'
_symmetry_Int_Tables_number 64
_symmetry_space_group_name_Hall '-C 2ac 2'
loop_
_atom_site_label
_atom_site_type_symbol
_atom_site_fract_x
_atom_site_fract_y
_atom_site_fract_z
_atom_site_occupancy
Cs1 Cs 0.0000 0.0377 0.1659 1
Cs2 Cs 0.1520 0.2032 0.6774 1
Cu1 Cu 0.0679 0.0000 0.5000 1
Te1 Te 0.0000 0.2317 0.4237 1
S1 S 0.0000 0.1202 0.5844 1
S2 S 0.0854 0.1616 0.9544 1
S3 S 0.1244 0.0614 0.3539 1
S4 S 0.2057 0.1307 0.4023 1
S5 S 0.2245 0.0245 0.0826 1
```


Entry 11:
This entry pairs a crystal structure of YBeBiOs with its theoretical X-ray diffraction stick pattern. Radiation: copper Kα. Structure: DFT lattice parameters and positions (GGA-PBE).
Intensities are scaled so that the largest is 100.

Peak list (9 most intense, 2θ from 5° to 70°, by intensity)
- 2.388 Å, 2θ = 37.7°, I 100, hkl 2 2 0
- 3.899 Å, 2θ = 22.8°, I 45, hkl 1 1 1
- 1.379 Å, 2θ = 68.0°, I 36, hkl 4 2 2
- 2.036 Å, 2θ = 44.5°, I 24, hkl 3 1 1
- 1.688 Å, 2θ = 54.3°, I 18, hkl 4 0 0
- 1.549 Å, 2θ = 59.7°, I 11, hkl 3 3 1
- 3.377 Å, 2θ = 26.4°, I 6, hkl 2 0 0
- 1.510 Å, 2θ = 61.4°, I 2, hkl 4 2 0
- 1.950 Å, 2θ = 46.6°, I 2, hkl 2 2 2

```
data_YBeBiOs
_chemical_formula_sum 'Y4 Be4 Bi4 Os4'
_cell_length_a 6.7536
_cell_length_b 6.7536
_cell_length_c 6.7536
_cell_angle_alpha 90.00
_cell_angle_beta 90.00
_cell_angle_gamma 90.00
_symmetry_space_group_name_H-M 'F -4 3 m'
_symmetry_Int_Tables_number 216
_symmetry_space_group_name_Hall 'F -4 2 3'
loop_
_atom_site_label
_atom_site_type_symbol
_atom_site_fract_x
_atom_site_fract_y
_atom_site_fract_z
_atom_site_occupancy
Y1 Y 0.0000 0.0000 0.0000 1
Be1 Be 0.2500 0.2500 0.7500 1
Bi1 Bi 0.0000 0.0000 0.5000 1
Os1 Os 0.2500 0.2500 0.2500 1
```


Copy entry 4 word for word.
This entry pairs a crystal structure of Ho3Os with its theoretical X-ray diffraction stick pattern. Radiation: copper Kα. Structure: DFT lattice parameters and positions (GGA-PBE).
Intensities are scaled so that the largest is 100.

Peak list (10 most intense, 2θ from 5° to 70°, by intensity)
- 2.743 Å, 2θ = 32.6°, I 100, hkl 1 1 2
- 2.536 Å, 2θ = 35.4°, I 87, hkl 1 3 1
- 2.596 Å, 2θ = 34.5°, I 78, hkl 2 2 1
- 2.701 Å, 2θ = 33.2°, I 70, hkl 0 3 1
- 2.853 Å, 2θ = 31.3°, I 64, hkl 2 2 0
- 2.326 Å, 2θ = 38.7°, I 53, hkl 2 3 0
- 2.292 Å, 2θ = 39.3°, I 52, hkl 3 0 1
- 1.833 Å, 2θ = 49.8°, I 48, hkl 1 2 3
- 2.999 Å, 2θ = 29.8°, I 46, hkl 2 1 1
- 2.881 Å, 2θ = 31.0°, I 40, hkl 1 0 2

```
data_Ho3Os
_chemical_formula_sum 'Ho12 Os4'
_cell_length_a 7.3906
_cell_length_b 8.9814
_cell_length_c 6.2562
_cell_angle_alpha 90.00
_cell_angle_beta 90.00
_cell_angle_gamma 90.00
_symmetry_space_group_name_H-M 'P n m a'
_symmetry_Int_Tables_number 62
loop_
_symmetry_equiv_pos_as_xyz
'x,y,z'
'-x,-y,-z'
'-x+1/2,-y,z+1/2'
'x+1/2,y,-z+1/2'
'x+1/2,-y+1/2,-z+1/2'
'-x+1/2,y+1/2,z+1/2'
'-x,y+1/2,-z'
'x,-y+1/2,z'
loop_
_atom_site_label
_atom_site_type_symbol
_atom_site_fract_x
_atom_site_fract_y
_atom_site_fract_z
_atom_site_occupancy
Ho1 Ho 0.0380 0.2500 0.1287 1
Ho2 Ho 0.1748 0.0628 0.6658 1
Os1 Os 0.1185 0.7500 0.4598 1
```